1.
The following is a calculated PXRD pattern of AcHoMgOs. It was derived from DFT lattice parameters and positions (GGA-PBE), using λ = 1.5418 Å (Cu Kα).

Principal peaks in the range 5° ≤ 2θ ≤ 70°, low angle first:
| d/Å | Rel. int. |
| --- | --- |
| 4.257 | 19 |
| 3.686 | 10 |
| 2.607 | 100 |
| 2.223 | 11 |
| 1.843 | 18 |
| 1.691 | 5 |
| 1.649 | 4 |
| 1.505 | 38 |

Crystal structure
Cell lengths 7.373, 7.373, 7.373 Å; angles 90.00, 90.00, 90.00 degrees
Atoms (fractional coordinates):
1 Ac 0.000 0.000 0.000
2 Ac 0.000 0.500 0.500
3 Ac 0.500 0.000 0.500
4 Ac 0.500 0.500 0.000
5 Ho 0.000 0.000 0.500
6 Ho 0.000 0.500 0.000
7 Ho 0.500 0.000 0.000
8 Ho 0.500 0.500 0.500
9 Mg 0.250 0.250 0.250
10 Mg 0.250 0.750 0.750
11 Mg 0.750 0.250 0.750
12 Mg 0.750 0.750 0.250
13 Os 0.250 0.250 0.750
14 Os 0.250 0.750 0.250
15 Os 0.750 0.250 0.250
16 Os 0.750 0.750 0.750

2.
The following is a calculated PXRD pattern of TbMg2In2Ag2. It was derived from DFT lattice parameters and positions (GGA-PBE), using λ = 1.5418 Å (Cu Kα).

Principal peaks in the range 5° ≤ 2θ ≤ 70°, low angle first:
| d/Å | Rel. int. |
| --- | --- |
| 8.164 | 13 |
| 3.396 | 62 |
| 2.656 | 100 |
| 2.356 | 100 |
| 1.955 | 19 |
| 1.763 | 29 |
| 1.411 | 27 |
| 1.360 | 18 |

Crystal structure
Cell lengths 8.605, 8.605, 8.605 Å; angles 31.78, 31.78, 31.78 degrees
Atoms (fractional coordinates):
1 Tb 0.000 0.000 0.000
2 Mg 0.137 0.137 0.137
3 Mg 0.863 0.863 0.863
4 In 0.265 0.265 0.265
5 In 0.735 0.735 0.735
6 Ag 0.437 0.437 0.437
7 Ag 0.563 0.563 0.563

3.
The following is a calculated PXRD pattern of Tb2Pm4Nd2Mg. It was derived from DFT lattice parameters and positions (GGA-PBE), using λ = 1.5418 Å (Cu Kα).

Principal peaks in the range 5° ≤ 2θ ≤ 70°, low angle first:
| d/Å | Rel. int. |
| --- | --- |
| 3.505 | 34 |
| 3.146 | 65 |
| 2.819 | 95 |
| 2.808 | 100 |
| 2.799 | 90 |
| 2.781 | 88 |
| 2.726 | 66 |
| 2.713 | 60 |

Crystal structure
Cell lengths 6.528, 6.530, 7.637 Å; angles 74.67, 74.35, 85.67 degrees
Atoms (fractional coordinates):
1 Tb 0.166 0.207 0.305
2 Tb 0.834 0.793 0.695
3 Pm 0.130 0.184 0.779
4 Pm 0.322 0.674 0.408
5 Pm 0.678 0.326 0.592
6 Pm 0.870 0.816 0.221
7 Nd 0.294 0.628 0.889
8 Nd 0.706 0.372 0.111
9 Mg 0.500 0.000 0.000

4.
The following is a calculated PXRD pattern of NiMo3As. It was derived from DFT lattice parameters and positions (GGA-PBE), using λ = 1.5418 Å (Cu Kα).

Principal peaks in the range 5° ≤ 2θ ≤ 70°, low angle first:
| d/Å | Rel. int. |
| --- | --- |
| 4.497 | 25 |
| 3.180 | 6 |
| 2.596 | 100 |
| 2.249 | 100 |
| 2.011 | 11 |
| 1.590 | 65 |
| 1.499 | 5 |
| 1.356 | 38 |

Crystal structure
Cell lengths 4.497, 4.497, 4.497 Å; angles 90.00, 90.00, 90.00 degrees
Atoms (fractional coordinates):
1 Ni 0.000 0.000 0.000
2 Mo 0.000 0.000 0.500
3 Mo 0.000 0.500 0.000
4 Mo 0.500 0.000 0.000
5 As 0.500 0.500 0.500

5.
The following is a calculated PXRD pattern of Y2Al5Ag12. It was derived from DFT lattice parameters and positions (GGA-PBE), using λ = 1.5418 Å (Cu Kα).

Principal peaks in the range 5° ≤ 2θ ≤ 70°, low angle first:
| d/Å | Rel. int. |
| --- | --- |
| 4.709 | 28 |
| 3.528 | 14 |
| 2.719 | 20 |
| 2.663 | 29 |
| 2.353 | 100 |
| 2.344 | 28 |
| 2.104 | 41 |
| 1.489 | 13 |

Crystal structure
Cell lengths 7.180, 7.180, 7.180 Å; angles 82.00, 82.00, 82.00 degrees
Atoms (fractional coordinates):
1 Y 0.167 0.167 0.167
2 Y 0.833 0.833 0.833
3 Al 0.000 0.500 0.500
4 Al 0.405 0.405 0.405
5 Al 0.500 0.000 0.500
6 Al 0.500 0.500 0.000
7 Al 0.595 0.595 0.595
8 Ag 0.157 0.157 0.641
9 Ag 0.157 0.641 0.157
10 Ag 0.198 0.500 0.802
11 Ag 0.198 0.802 0.500
12 Ag 0.359 0.843 0.843
13 Ag 0.500 0.198 0.802
14 Ag 0.500 0.802 0.198
15 Ag 0.641 0.157 0.157
16 Ag 0.802 0.198 0.500
17 Ag 0.802 0.500 0.198
18 Ag 0.843 0.359 0.843
19 Ag 0.843 0.843 0.359

6.
The following is a calculated PXRD pattern of BaMg2AlZn. It was derived from DFT lattice parameters and positions (GGA-PBE), using λ = 1.5418 Å (Cu Kα).

Principal peaks in the range 5° ≤ 2θ ≤ 70°, low angle first:
| d/Å | Rel. int. |
| --- | --- |
| 7.131 | 33 |
| 5.042 | 60 |
| 4.734 | 100 |
| 3.565 | 66 |
| 2.848 | 57 |
| 2.681 | 25 |
| 2.521 | 26 |
| 2.367 | 43 |

Crystal structure
Cell lengths 7.131, 7.131, 6.331 Å; angles 90.00, 90.00, 90.00 degrees
Atoms (fractional coordinates):
1 Ba 0.000 0.000 0.000
2 Mg 0.000 0.500 0.000
3 Mg 0.500 0.000 0.000
4 Al 0.000 0.000 0.500
5 Zn 0.500 0.500 0.500